Diffraction record for GdTmLuTl. The powder diffractogram is simulated, not measured: it uses a crystal structure in Alexandria, relaxed with PBE and a wavelength of 1.5418 Å.
No peak broadening, texture or thermal motion is included.

Principal peaks in the range 2θ = 10–80°, sorted by position:
two_theta  I (rel.)
23.21  6
33.05  1000
47.44  184
59.04  386
69.35  119
79.00  167

```
16
Lattice="7.6652 0.0000 0.0000 0.0000 7.6652 0.0000 0.0000 0.0000 7.6652" Properties=species:S:1:pos:R:3 pbc="T T T"
Gd 0.0000 0.0000 0.0000
Gd 0.0000 3.8326 3.8326
Gd 3.8326 0.0000 3.8326
Gd 3.8326 3.8326 0.0000
Tm 0.0000 0.0000 3.8326
Tm 0.0000 3.8326 0.0000
Tm 3.8326 0.0000 0.0000
Tm 3.8326 3.8326 3.8326
Lu 1.9163 1.9163 1.9163
Lu 1.9163 5.7489 5.7489
Lu 5.7489 1.9163 5.7489
Lu 5.7489 5.7489 1.9163
Tl 1.9163 1.9163 5.7489
Tl 1.9163 5.7489 1.9163
Tl 5.7489 1.9163 1.9163
Tl 5.7489 5.7489 5.7489
```

Diffraction record for Gd5Mg. The powder diffractogram is simulated, not measured: it uses a crystal structure in Alexandria, relaxed with PBE and a wavelength of 1.5418 Å.
No peak broadening, texture or thermal motion is included.

Principal peaks in the range 2θ = 10–80°, sorted by position:
two_theta  I (rel.)
25.67  99
29.85  196
30.33  220
31.85  287
32.37  1000
44.55  154
57.08  199
58.49  106

```
12
Lattice="5.6195 0.0000 0.0000 0.0000 17.6828 0.0000 0.0000 0.0000 3.7726" Properties=species:S:1:pos:R:3 pbc="T T T"
Gd 0.0000 0.0000 0.0000
Gd 0.0000 3.2391 1.8863
Gd 0.0000 6.2498 0.0000
Gd 0.0000 11.4330 0.0000
Gd 0.0000 14.4437 1.8863
Gd 2.8097 2.5916 0.0000
Gd 2.8097 5.6023 1.8863
Gd 2.8097 8.8414 0.0000
Gd 2.8097 12.0805 1.8863
Gd 2.8097 15.0912 0.0000
Mg 0.0000 8.8414 1.8863
Mg 2.8097 0.0000 1.8863
```

Diffraction record for NaGdMg4. The powder diffractogram is simulated, not measured: it uses a crystal structure in Alexandria, relaxed with PBE and a wavelength of 1.5418 Å.
No peak broadening, texture or thermal motion is included.

Principal peaks in the range 2θ = 10–80°, sorted by position:
two_theta  I (rel.)
17.77  588
20.55  375
29.23  614
34.41  1000
36.00  202
51.82  247
55.22  338
60.61  186

```
6
Lattice="0.0000 4.3215 4.3215 4.3215 0.0000 4.3215 4.3215 4.3215 0.0000" Properties=species:S:1:pos:R:3 pbc="T T T"
Na 0.0000 0.0000 0.0000
Gd 6.4823 6.4823 6.4823
Mg 3.2478 3.2478 3.2478
Mg 5.3952 5.3952 3.2478
Mg 5.3952 3.2478 5.3952
Mg 3.2478 5.3952 5.3952
```

Diffraction record for GdMgTi. The powder diffractogram is simulated, not measured: it uses a crystal structure in Alexandria, relaxed with PBE and a wavelength of 1.5418 Å.
No peak broadening, texture or thermal motion is included.

Principal peaks in the range 2θ = 10–80°, sorted by position:
two_theta  I (rel.)
13.40  609
28.06  480
34.11  1000
38.88  356
41.30  161
56.19  211
57.76  199
67.36  264

```
6
Lattice="3.2757 0.0000 0.0000 0.0000 3.2757 0.0000 0.0000 0.0000 13.2147" Properties=species:S:1:pos:R:3 pbc="T T T"
Gd 0.0000 0.0000 0.0000
Gd 1.6379 1.6379 6.6073
Mg 0.0000 0.0000 9.1581
Mg 1.6379 1.6379 2.5508
Ti 0.0000 0.0000 4.4765
Ti 1.6379 1.6379 11.0838
```